The following is a theoretical powder diffraction line list of TlIrPtO4. It was derived from a cell relaxed with GGA-PBE, using Cu Kα.
Kinematic intensities with the Lorentz-polarization factor, no thermal factor.

Atomic structure:
abc: 5.684 6.274 11.618
angles: 90.00 90.00 90.00
Space group Imma (No. 74)
Inequivalent atoms, fractional coordinates:
Tl (0.000, 0.250, 0.166) x4
Ir (0.000, 0.000, 0.500) x4
Pt (0.250, 0.250, 0.750) x4
O (0.000, 0.049, 0.674) x8
O (0.214, 0.250, 0.485) x8

Main lines, by angle (2θ from 10° to 80°):
| index | Position (°2θ) | I (rel.) |
| --- | --- | --- |
| 1 1 2 | 26.13 | 58 |
| 1 0 3 | 27.88 | 98 |
| 0 2 2 | 32.44 | 94 |
| 1 2 1 | 33.53 | 81 |
| 2 1 1 | 35.53 | 100 |
| 2 2 4 | 53.76 | 62 |
| 0 1 7 | 57.39 | 35 |
| 2 0 6 | 57.60 | 35 |